Calculated X-ray powder pattern of Na2Zn5Ga4 for Cu Ka, from DFT lattice parameters and positions (GGA-PBE).
Intensities are scaled so that the largest is 100.

Most intense lines, 10 to 90 degrees two-theta, in order of rising 2θ:
(hkl)  2theta  I/Imax
0 2 0  18.6  77
1 1 1  19.5  87
1 3 3  36.5  82
2 2 0  38.0  32
2 0 4  39.5  100
1 3 5  42.6  38
0 0 8  43.4  56
0 4 4  43.7  64
2 2 4  43.9  78
2 6 8  84.4  29

Crystal structure
a = 5.4603 Å, b = 9.5486 Å, c = 16.6785 Å
α = 90.00°, β = 90.00°, γ = 90.00°
Space group Fmmm (No. 69)
One atom of each set of equivalent atoms:
Na 0.0000 0.0000 0.1230 (multiplicity 8)
Zn 0.0000 0.0000 0.5000 (multiplicity 4)
Zn 0.2500 0.2500 0.0000 (multiplicity 8)
Zn 0.2500 0.2500 0.2500 (multiplicity 8)
Ga 0.0000 0.1538 0.3702 (multiplicity 16)